Computed XRD peak list of CuNi2I6 for Cu Kα, 1.54184 Å, from DFT lattice parameters and positions (GGA-PBE).

Structural model:
```
CuNi2I6
1.0
7.704 -6.667 0.000
7.704 6.667 0.000
-3.579 0.000 6.867
Cu Ni I
2 4 12
Direct
0.186 0.814 0.750
0.814 0.186 0.250
0.207 0.382 0.375
0.382 0.207 0.875
0.618 0.793 0.125
0.793 0.618 0.625
0.054 0.177 0.192
0.177 0.054 0.692
0.187 0.638 0.417
0.314 0.397 0.721
0.362 0.813 0.083
0.397 0.314 0.221
0.603 0.686 0.779
0.638 0.187 0.917
0.686 0.603 0.279
0.813 0.362 0.583
0.823 0.946 0.308
0.946 0.823 0.808
```

Most intense lines, 2θ = 10–90°, in order of rising 2θ:
2theta  I/Imax
13.24  82
18.58  73
23.04  60
25.95  38
26.09  37
26.29  38
26.81  100
29.26  39
35.51  40
47.22  32

***

Computed XRD peak list of Rb3Cu2NiI8 for Cu Kα, 1.54184 Å, from DFT lattice parameters and positions (GGA-PBE).

Structural model:
```
Rb3Cu2NiI8
1.0
8.036 0.000 0.000
-4.018 6.959 0.000
0.000 0.000 10.091
Rb Cu Ni I
3 2 1 8
Direct
0.000 0.000 0.000
0.333 0.667 0.634
0.667 0.333 0.366
0.333 0.667 0.240
0.667 0.333 0.760
0.000 0.000 0.500
0.157 0.313 0.334
0.157 0.843 0.334
0.313 0.157 0.666
0.333 0.667 0.993
0.667 0.333 0.007
0.687 0.843 0.334
0.843 0.157 0.666
0.843 0.687 0.666
```

Most intense lines, 2θ = 10–90°, in order of rising 2θ:
2theta  I/Imax
15.47  44
22.12  47
25.60  36
26.50  58
27.11  82
31.23  100
37.18  36
44.35  31
45.13  63
53.10  46